Diffraction record for Zr3Zn2. The XRD peak list is simulated, not measured: it uses a cell relaxed with PBE and Cu Kα (weighted mean of Kα1 and Kα2).
Neutral-atom scattering factors, no anomalous dispersion.

Structure:
```
Zr3Zn2
1.0
7.6246 0.0000 0.0000
0.0000 7.6246 0.0000
0.0000 0.0000 6.7904
Zr Zn
12 8
direct
0.0000 0.5000 0.2500
0.0000 0.5000 0.7500
0.1509 0.1509 0.0000
0.2074 0.2074 0.5000
0.2926 0.7074 0.0000
0.3491 0.6509 0.5000
0.5000 0.0000 0.2500
0.5000 0.0000 0.7500
0.6509 0.3491 0.5000
0.7074 0.2926 0.0000
0.7926 0.7926 0.5000
0.8491 0.8491 0.0000
0.1197 0.8803 0.3051
0.1197 0.8803 0.6949
0.3803 0.3803 0.1949
0.3803 0.3803 0.8051
0.6197 0.6197 0.1949
0.6197 0.6197 0.8051
0.8803 0.1197 0.3051
0.8803 0.1197 0.6949
```

Most intense lines, 10° ≤ 2θ ≤ 90°, low angle first:
two_theta  I_rel
31.13  7
33.24  16
35.40  41
35.84  10
37.34  100
39.67  16
41.62  8
42.76  8
58.07  7
67.48  8
68.58  8
75.12  9

Diffraction record for ErZn5Au7. The XRD peak list is simulated, not measured: it uses a cell relaxed with PBE and Cu Kα (weighted mean of Kα1 and Kα2).
Neutral-atom scattering factors, no anomalous dispersion.

Structure:
```
ErZn5Au7
1.0
5.2888 -4.6818 0.0000
5.2888 4.6818 0.0000
-2.6688 0.0000 4.6093
Er Zn Au
1 5 7
direct
0.0000 0.0000 0.0000
0.4850 0.9864 0.9856
0.4847 0.9865 0.4875
0.7508 0.7508 0.2509
0.9864 0.4850 0.9856
0.9865 0.4847 0.4875
0.1642 0.7929 0.4794
0.2217 0.2217 0.7234
0.3264 0.6606 0.9942
0.3389 0.3389 0.3400
0.6606 0.3264 0.9942
0.6705 0.6705 0.6714
0.7929 0.1642 0.4794
```

Most intense lines, 10° ≤ 2θ ≤ 90°, low angle first:
two_theta  I_rel
27.23  34
33.27  84
33.65  65
33.86  38
38.80  100
39.09  65
39.37  40
43.41  28
43.83  77
44.08  24
69.87  35
71.08  25